[1]
Structure and simulated powder XRD pattern of Cd3H6C2I6N2O2 (a crystal structure in OQMD, relaxed with GGA-PBE; λ = 1.5418 Å (Cu Kα)).
Kinematic intensities with the Lorentz-polarization factor, no thermal factor.

Largest 10 diffraction maxima, by angle, 2θ = 10–90°:
d (Å), Position (°2θ), Rel. int.
7.071, 12.52, 358
6.804, 13.01, 415
3.535, 25.19, 790
3.260, 27.36, 632
3.177, 28.09, 1000
2.782, 32.17, 313
2.681, 33.42, 364
2.496, 35.98, 391
2.397, 37.53, 338
2.099, 43.09, 296

Structural model:
```
Cd3H6C2I6N2O2
1.0
14.141 0.000 0.000
0.000 15.523 0.000
0.000 0.000 4.199
Cd H C I N O
6 12 4 12 4 4
direct
0.000 0.000 0.000
0.237 0.112 0.487
0.263 0.612 0.987
0.500 0.500 0.500
0.737 0.388 0.987
0.763 0.888 0.487
0.052 0.698 0.916
0.078 0.454 0.947
0.107 0.343 0.915
0.393 0.843 0.415
0.422 0.954 0.447
0.448 0.198 0.416
0.552 0.802 0.416
0.578 0.046 0.447
0.607 0.157 0.415
0.893 0.657 0.915
0.922 0.546 0.947
0.948 0.302 0.916
0.034 0.629 0.938
0.466 0.129 0.438
0.534 0.871 0.438
0.966 0.371 0.938
0.023 0.136 0.497
0.214 0.973 0.988
0.236 0.741 0.483
0.264 0.241 0.983
0.286 0.473 0.488
0.477 0.636 0.997
0.523 0.364 0.997
0.714 0.527 0.488
0.736 0.759 0.983
0.764 0.259 0.483
0.786 0.027 0.988
0.977 0.864 0.497
0.057 0.391 0.930
0.443 0.891 0.430
0.557 0.109 0.430
0.943 0.609 0.930
0.099 0.574 0.965
0.401 0.074 0.465
0.599 0.926 0.465
0.901 0.426 0.965
```



[2]
Structure and simulated powder XRD pattern of Ho2Ga3Pd4 (a crystal structure in OQMD, relaxed with GGA-PBE; λ = 1.5418 Å (Cu Kα)).
Kinematic intensities with the Lorentz-polarization factor, no thermal factor.

Largest 10 diffraction maxima, by angle, 2θ = 10–90°:
d (Å), Position (°2θ), Rel. int.
2.686, 33.36, 301
2.519, 35.64, 1000
2.481, 36.21, 456
2.432, 36.97, 517
2.402, 37.45, 242
2.261, 39.88, 873
2.248, 40.10, 216
2.113, 42.79, 176
1.554, 59.49, 233
1.514, 61.24, 185

Structural model:
```
Ho2Ga3Pd4
1.0
2.792 -7.583 0.000
2.792 7.583 0.000
0.000 0.000 7.702
Ho Ga Pd
4 6 8
direct
0.110 0.890 0.917
0.390 0.610 0.417
0.610 0.390 0.583
0.890 0.110 0.083
0.000 0.000 0.500
0.019 0.481 0.750
0.481 0.019 0.250
0.500 0.500 0.000
0.519 0.981 0.750
0.981 0.519 0.250
0.182 0.818 0.520
0.191 0.309 0.750
0.309 0.191 0.250
0.318 0.682 0.020
0.682 0.318 0.980
0.691 0.809 0.750
0.809 0.691 0.250
0.818 0.182 0.480
```



[3]
Structure and simulated powder XRD pattern of Y2Ga8Pd (a crystal structure in OQMD, relaxed with GGA-PBE; λ = 1.5418 Å (Cu Kα)).
Kinematic intensities with the Lorentz-polarization factor, no thermal factor.

Largest 10 diffraction maxima, by angle, 2θ = 10–90°:
d (Å), Position (°2θ), Rel. int.
4.337, 20.48, 92
2.685, 33.37, 195
2.363, 38.09, 1000
2.224, 40.56, 113
2.168, 41.65, 517
2.060, 43.96, 93
1.553, 59.55, 141
1.533, 60.37, 167
1.286, 73.65, 272
1.266, 75.03, 95

Structural model:
```
Y2Ga8Pd
1.0
4.337 0.000 0.000
0.000 4.337 0.000
0.000 0.000 11.120
Y Ga Pd
2 8 1
direct
0.000 0.000 0.190
0.000 0.000 0.810
0.000 0.500 0.000
0.000 0.500 0.375
0.000 0.500 0.625
0.500 0.000 0.000
0.500 0.000 0.375
0.500 0.000 0.625
0.500 0.500 0.192
0.500 0.500 0.808
0.000 0.000 0.500
```



[4]
Structure and simulated powder XRD pattern of NaZrAgSe3 (a crystal structure in OQMD, relaxed with GGA-PBE; λ = 1.5418 Å (Cu Kα)).
Kinematic intensities with the Lorentz-polarization factor, no thermal factor.

Largest 10 diffraction maxima, by angle, 2θ = 10–90°:
d (Å), Position (°2θ), Rel. int.
4.611, 19.25, 259
3.974, 22.37, 693
2.768, 32.35, 1000
2.669, 33.58, 322
2.548, 35.22, 346
2.177, 41.48, 474
2.162, 41.78, 311
2.155, 41.93, 323
2.109, 42.87, 459
2.042, 44.36, 429

Structural model:
```
NaZrAgSe3
1.0
7.729 0.000 0.000
0.000 4.084 0.000
0.000 0.000 17.237
Na Zr Ag Se
4 4 4 12
direct
0.113 0.250 0.191
0.387 0.750 0.691
0.613 0.250 0.309
0.887 0.750 0.809
0.241 0.250 0.955
0.259 0.750 0.455
0.741 0.250 0.545
0.759 0.750 0.045
0.033 0.250 0.673
0.467 0.750 0.173
0.533 0.250 0.827
0.967 0.750 0.327
0.008 0.250 0.427
0.128 0.750 0.052
0.189 0.250 0.804
0.311 0.750 0.304
0.372 0.250 0.552
0.492 0.750 0.927
0.508 0.250 0.073
0.628 0.750 0.448
0.689 0.250 0.696
0.811 0.750 0.196
0.872 0.250 0.948
0.992 0.750 0.573
```



[5]
Structure and simulated powder XRD pattern of Cs2Cd3O4 (a crystal structure in OQMD, relaxed with GGA-PBE; λ = 1.5418 Å (Cu Kα)).
Kinematic intensities with the Lorentz-polarization factor, no thermal factor.

Largest 10 diffraction maxima, by angle, 2θ = 10–90°:
d (Å), Position (°2θ), Rel. int.
6.452, 13.73, 193
3.556, 25.04, 811
3.226, 27.65, 717
3.053, 29.25, 209
2.805, 31.91, 803
2.783, 32.17, 362
2.703, 33.15, 1000
2.555, 35.12, 696
2.107, 42.92, 319
1.812, 50.37, 188

Structural model:
```
Cs2Cd3O4
1.0
12.904 0.000 0.000
0.000 9.444 0.000
0.000 0.000 5.953
Cs Cd O
8 12 16
direct
0.000 0.000 0.000
0.000 0.500 0.000
0.029 0.250 0.483
0.471 0.750 0.983
0.500 0.000 0.500
0.500 0.500 0.500
0.529 0.250 0.017
0.971 0.750 0.517
0.214 0.750 0.233
0.247 0.587 0.687
0.247 0.913 0.687
0.253 0.087 0.187
0.253 0.413 0.187
0.286 0.250 0.733
0.714 0.750 0.267
0.747 0.587 0.813
0.747 0.913 0.813
0.753 0.087 0.313
0.753 0.413 0.313
0.786 0.250 0.767
0.148 0.541 0.391
0.148 0.959 0.391
0.158 0.250 0.979
0.159 0.750 0.891
0.341 0.250 0.391
0.342 0.750 0.479
0.352 0.041 0.891
0.352 0.459 0.891
0.648 0.541 0.109
0.648 0.959 0.109
0.658 0.250 0.521
0.659 0.750 0.609
0.841 0.250 0.109
0.842 0.750 0.021
0.852 0.041 0.609
0.852 0.459 0.609
```



[6]
Structure and simulated powder XRD pattern of AsPt17 (a crystal structure in OQMD, relaxed with GGA-PBE; λ = 1.5418 Å (Cu Kα)).
Kinematic intensities with the Lorentz-polarization factor, no thermal factor.

Largest 10 diffraction maxima, by angle, 2θ = 10–90°:
d (Å), Position (°2θ), Rel. int.
2.349, 38.32, 545
2.276, 39.61, 1000
2.248, 40.11, 460
2.213, 40.77, 152
1.999, 45.37, 317
1.970, 46.07, 651
1.427, 65.41, 222
1.381, 67.87, 224
1.209, 79.27, 131
1.192, 80.58, 133

Structural model:
```
AsPt17
1.0
4.782 0.000 0.000
0.000 5.535 0.000
-0.637 0.000 28.184
As Pt
2 34
direct
0.193 0.250 0.169
0.807 0.750 0.831
0.000 0.000 0.500
0.000 0.500 0.500
0.018 0.002 0.747
0.018 0.498 0.747
0.152 0.250 0.418
0.153 0.750 0.418
0.190 0.250 0.664
0.194 0.750 0.168
0.195 0.750 0.666
0.305 0.006 0.832
0.305 0.494 0.832
0.309 0.001 0.335
0.309 0.499 0.335
0.347 0.501 0.583
0.347 0.999 0.583
0.475 0.250 0.247
0.486 0.750 0.253
0.500 0.250 0.500
0.500 0.750 0.500
0.514 0.250 0.747
0.525 0.750 0.753
0.653 0.001 0.417
0.653 0.499 0.417
0.691 0.501 0.665
0.691 0.999 0.665
0.695 0.506 0.168
0.695 0.994 0.168
0.805 0.250 0.334
0.806 0.250 0.832
0.810 0.750 0.336
0.847 0.250 0.582
0.848 0.750 0.582
0.982 0.502 0.253
0.982 0.998 0.253
```



[7]
Structure and simulated powder XRD pattern of Al2FeCu5 (a crystal structure in OQMD, relaxed with GGA-PBE; λ = 1.5418 Å (Cu Kα)).
Kinematic intensities with the Lorentz-polarization factor, no thermal factor.

Largest 10 diffraction maxima, by angle, 2θ = 10–90°:
d (Å), Position (°2θ), Rel. int.
3.332, 26.75, 103
3.000, 29.78, 32
2.833, 31.58, 54
2.060, 43.95, 1000
2.004, 45.26, 457
1.717, 53.35, 28
1.500, 61.84, 84
1.417, 65.93, 137
1.201, 79.88, 151
1.167, 82.66, 276

Structural model:
```
Al2FeCu5
1.0
-2.833 2.833 6.001
2.833 -2.833 6.001
2.833 2.833 -6.001
Al Fe Cu
4 2 10
direct
0.121 0.371 0.750
0.371 0.121 0.250
0.629 0.879 0.750
0.879 0.629 0.250
0.125 0.875 0.250
0.875 0.125 0.750
0.000 0.252 0.252
0.000 0.748 0.748
0.252 0.000 0.752
0.252 0.500 0.252
0.375 0.625 0.750
0.500 0.252 0.752
0.500 0.748 0.248
0.625 0.375 0.250
0.748 0.000 0.248
0.748 0.500 0.748
```